1.
# Dy5Y12Th2
Simulated PXRD pattern, CuKα. Input: a DFT-relaxed cell (GGA-PBE, Alexandria).
Kinematic intensities with the Lorentz-polarization factor, no thermal factor.

Peak list (8 most intense, 2θ = 5–70°, in order of rising 2θ)
two_theta, intensity
31.26, 81
31.44, 82
31.58, 76
31.72, 100
32.75, 80
32.90, 26
33.04, 72
47.21, 33

Crystal structure
Unit cell a=8.412 b=8.757 c=10.033 alpha=94.69 beta=101.36 gamma=118.46
Sites, in units of the cell vectors:
Dy 0.000 0.000 0.000
Dy 0.012 0.659 0.130
Dy 0.148 0.434 0.930
Dy 0.226 0.802 0.532
Dy 0.935 0.321 0.526
Y 0.034 0.024 0.349
Y 0.101 0.077 0.701
Y 0.272 0.476 0.310
Y 0.334 0.898 0.916
Y 0.435 0.033 0.277
Y 0.477 0.641 0.747
Y 0.538 0.364 0.950
Y 0.599 0.760 0.124
Y 0.705 0.114 0.781
Y 0.720 0.522 0.344
Y 0.807 0.217 0.147
Y 0.882 0.621 0.750
Th 0.484 0.283 0.569
Th 0.656 0.847 0.493


2.
# Dy3Y7Th2
Simulated PXRD pattern, CuKα. Input: a DFT-relaxed cell (GGA-PBE, Alexandria).
Kinematic intensities with the Lorentz-polarization factor, no thermal factor.

Peak list (8 most intense, 2θ = 5–70°, in order of rising 2θ)
two_theta, intensity
29.62, 48
30.07, 100
30.81, 78
31.24, 46
31.96, 61
33.62, 54
36.61, 59
51.03, 56

Crystal structure
Unit cell a=3.583 b=6.193 c=17.537 alpha=93.46 beta=95.86 gamma=90.02
Sites, in units of the cell vectors:
Dy 0.000 0.000 0.000
Dy 0.332 0.108 0.666
Dy 0.668 0.892 0.334
Y 0.085 0.693 0.168
Y 0.250 0.744 0.501
Y 0.415 0.803 0.834
Y 0.500 0.500 0.000
Y 0.585 0.197 0.166
Y 0.750 0.256 0.499
Y 0.915 0.307 0.832
Th 0.168 0.384 0.333
Th 0.832 0.616 0.667


3.
# Dy3Y3Th2
Simulated PXRD pattern, CuKα. Input: a DFT-relaxed cell (GGA-PBE, Alexandria).
Kinematic intensities with the Lorentz-polarization factor, no thermal factor.

Peak list (8 most intense, 2θ = 5–70°, in order of rising 2θ)
two_theta, intensity
19.80, 18
28.14, 42
31.55, 67
34.65, 100
51.99, 16
54.11, 57
58.19, 16
65.87, 15

Crystal structure
Unit cell a=6.342 b=6.342 c=6.342 alpha=89.97 beta=89.97 gamma=89.97
Sites, in units of the cell vectors:
Dy 0.000 0.750 0.250
Dy 0.250 0.000 0.750
Dy 0.750 0.250 0.000
Y 0.250 0.500 0.750
Y 0.500 0.750 0.250
Y 0.750 0.250 0.500
Th 0.246 0.246 0.246
Th 0.754 0.754 0.754


4.
# Dy3Y6Th2
Simulated PXRD pattern, CuKα. Input: a DFT-relaxed cell (GGA-PBE, Alexandria).
Kinematic intensities with the Lorentz-polarization factor, no thermal factor.

Peak list (8 most intense, 2θ = 5–70°, in order of rising 2θ)
two_theta, intensity
24.09, 26
27.13, 28
27.50, 33
28.40, 31
31.15, 56
32.26, 100
33.57, 37
33.95, 27

Crystal structure
Unit cell a=5.923 b=12.570 c=10.202 alpha=90.00 beta=90.00 gamma=90.00
Sites, in units of the cell vectors:
Dy 0.000 0.000 0.000
Dy 0.000 0.500 0.319
Dy 0.000 0.500 0.681
Dy 0.500 0.000 0.181
Dy 0.500 0.000 0.819
Dy 0.500 0.500 0.500
Y 0.196 0.300 0.500
Y 0.223 0.282 0.161
Y 0.223 0.282 0.839
Y 0.277 0.782 0.339
Y 0.277 0.782 0.661
Y 0.304 0.800 0.000
Y 0.696 0.200 0.000
Y 0.723 0.218 0.339
Y 0.723 0.218 0.661
Y 0.777 0.718 0.161
Y 0.777 0.718 0.839
Y 0.804 0.700 0.500
Th 0.241 0.555 0.000
Th 0.259 0.055 0.500
Th 0.741 0.945 0.500
Th 0.759 0.445 0.000


5.
# Dy4Y8Th3
Simulated PXRD pattern, CuKα. Input: a DFT-relaxed cell (GGA-PBE, Alexandria).
Kinematic intensities with the Lorentz-polarization factor, no thermal factor.

Peak list (8 most intense, 2θ = 5–70°, in order of rising 2θ)
two_theta, intensity
20.47, 50
27.85, 68
30.31, 100
30.68, 73
30.99, 71
41.64, 45
41.91, 43
42.15, 40

Crystal structure
Unit cell a=9.297 b=9.297 c=6.662 alpha=110.54 beta=110.54 gamma=87.12
Sites, in units of the cell vectors:
Dy 0.000 0.000 0.000
Dy 0.000 0.000 0.500
Dy 0.000 0.500 0.000
Dy 0.500 0.000 0.000
Y 0.248 0.248 0.957
Y 0.248 0.752 0.000
Y 0.272 0.272 0.466
Y 0.354 0.646 0.500
Y 0.646 0.354 0.500
Y 0.728 0.728 0.534
Y 0.752 0.248 0.000
Y 0.752 0.752 0.043
Th 0.000 0.500 0.500
Th 0.500 0.000 0.500
Th 0.500 0.500 0.000


6.
# DyY2Th4
Simulated PXRD pattern, CuKα. Input: a DFT-relaxed cell (GGA-PBE, Alexandria).
Kinematic intensities with the Lorentz-polarization factor, no thermal factor.

Peak list (8 most intense, 2θ = 5–70°, in order of rising 2θ)
two_theta, intensity
13.51, 27
30.50, 27
31.57, 100
31.70, 38
34.48, 40
44.54, 30
60.58, 23
65.88, 29

Crystal structure
Unit cell a=9.268 b=9.268 c=5.645 alpha=90.00 beta=90.00 gamma=90.00
Sites, in units of the cell vectors:
Dy 0.000 0.000 0.000
Dy 0.500 0.500 0.500
Y 0.176 0.176 0.500
Y 0.324 0.676 0.000
Y 0.676 0.324 0.000
Y 0.824 0.824 0.500
Th 0.112 0.372 0.000
Th 0.128 0.612 0.500
Th 0.372 0.112 0.000
Th 0.388 0.872 0.500
Th 0.612 0.128 0.500
Th 0.628 0.888 0.000
Th 0.872 0.388 0.500
Th 0.888 0.628 0.000


7.
# Dy12Y2Th
Simulated PXRD pattern, CuKα. Input: a DFT-relaxed cell (GGA-PBE, Alexandria).
Kinematic intensities with the Lorentz-polarization factor, no thermal factor.

Peak list (8 most intense, 2θ = 5–70°, in order of rising 2θ)
two_theta, intensity
26.42, 33
29.90, 61
30.85, 71
31.58, 100
33.12, 86
33.38, 63
37.27, 85
62.25, 29

Crystal structure
Unit cell a=6.664 b=6.664 c=24.623 alpha=90.00 beta=90.00 gamma=116.48
Sites, in units of the cell vectors:
Dy 0.000 0.000 0.077
Dy 0.000 0.000 0.923
Dy 0.000 0.500 0.126
Dy 0.000 0.500 0.874
Dy 0.001 0.501 0.413
Dy 0.001 0.999 0.563
Dy 0.250 0.250 0.199
Dy 0.250 0.250 0.326
Dy 0.250 0.250 0.674
Dy 0.250 0.250 0.801
Dy 0.499 0.501 0.563
Dy 0.499 0.999 0.413
Dy 0.500 0.000 0.126
Dy 0.500 0.000 0.874
Dy 0.500 0.500 0.077
Dy 0.500 0.500 0.923
Dy 0.501 0.001 0.587
Dy 0.501 0.499 0.437
Dy 0.750 0.750 0.199
Dy 0.750 0.750 0.326
Dy 0.750 0.750 0.674
Dy 0.750 0.750 0.801
Dy 0.999 0.001 0.437
Dy 0.999 0.499 0.587
Y 0.250 0.750 0.268
Y 0.250 0.750 0.732
Y 0.750 0.250 0.268
Y 0.750 0.250 0.732
Th 0.250 0.750 0.000
Th 0.750 0.250 0.000


8.
# Dy12Y5Th2
Simulated PXRD pattern, CuKα. Input: a DFT-relaxed cell (GGA-PBE, Alexandria).
Kinematic intensities with the Lorentz-polarization factor, no thermal factor.

Peak list (8 most intense, 2θ = 5–70°, in order of rising 2θ)
two_theta, intensity
30.66, 67
31.25, 100
31.83, 70
32.13, 47
32.37, 55
33.47, 56
33.67, 67
35.66, 39

Crystal structure
Unit cell a=6.089 b=9.624 c=11.291 alpha=69.94 beta=82.21 gamma=88.99
Sites, in units of the cell vectors:
Dy 0.038 0.189 0.153
Dy 0.076 0.812 0.544
Dy 0.176 0.822 0.224
Dy 0.378 0.412 0.285
Dy 0.424 0.315 0.601
Dy 0.429 0.688 0.985
Dy 0.571 0.312 0.015
Dy 0.576 0.685 0.399
Dy 0.622 0.588 0.715
Dy 0.824 0.178 0.776
Dy 0.924 0.188 0.456
Dy 0.962 0.811 0.847
Y 0.000 0.500 0.500
Y 0.109 0.456 0.841
Y 0.497 0.052 0.332
Y 0.503 0.948 0.668
Y 0.891 0.544 0.159
Th 0.276 0.066 0.920
Th 0.724 0.934 0.080